Entry 1:
Structure and simulated X-ray diffraction stick pattern of TcIrOs (a crystal structure in the Materials Project, relaxed with GGA-PBE; Cu Kα).
Neutral-atom scattering factors, no anomalous dispersion.

Main lines, by intensity (10° ≤ 2θ ≤ 90°):
hkl  2theta  d [Å]  intensity
2 2 0  43.4  2.087  100
2 0 0  30.3  2.951  44
4 2 2  79.6  1.205  34
4 0 0  63.0  1.476  17
4 2 0  71.5  1.320  16
2 2 2  53.8  1.704  12
1 1 1  26.1  3.408  12
3 1 1  51.3  1.780  5
3 3 1  69.4  1.354  2
5 1 1  85.5  1.136  2

Atomic structure:
```
data_TcIrOs
_space_group_name_H-M_alt 'F -4 3 m'
_space_group_IT_number 216
_space_group_name_Hall 'F -4 2 3'
_cell_length_a 5.902
_cell_length_b 5.902
_cell_length_c 5.902
_cell_angle_alpha 90.00
_cell_angle_beta 90.00
_cell_angle_gamma 90.00
loop_
_atom_site_label
_atom_site_type_symbol
_atom_site_fract_x
_atom_site_fract_y
_atom_site_fract_z
_atom_site_occupancy
Tc1 Tc 0.000 0.000 0.000 1
Ir1 Ir 0.250 0.250 0.750 1
Os1 Os 0.250 0.250 0.250 1
```

***

Entry 2:
Structure and simulated X-ray diffraction stick pattern of Rb2TiAgF6 (a crystal structure in the Materials Project, relaxed with GGA-PBE; Cu Kα).
Neutral-atom scattering factors, no anomalous dispersion.

Main lines, by intensity (10° ≤ 2θ ≤ 90°):
hkl  2theta  d [Å]  intensity
2 2 0  28.4  3.147  100
4 0 0  40.5  2.225  41
4 2 2  50.2  1.817  38
4 4 0  58.7  1.574  24
6 4 2  80.8  1.190  21
6 2 0  66.4  1.407  19
4 4 4  73.7  1.285  7
3 1 1  33.4  2.684  7
2 2 2  34.9  2.570  7
3 3 1  44.4  2.042  6

Atomic structure:
```
data_Rb2TiAgF6
_space_group_name_H-M_alt 'F m -3 m'
_space_group_IT_number 225
_space_group_name_Hall '-F 4 2 3'
_cell_length_a 8.902
_cell_length_b 8.902
_cell_length_c 8.902
_cell_angle_alpha 90.00
_cell_angle_beta 90.00
_cell_angle_gamma 90.00
loop_
_atom_site_label
_atom_site_type_symbol
_atom_site_fract_x
_atom_site_fract_y
_atom_site_fract_z
_atom_site_occupancy
Rb1 Rb 0.250 0.250 0.250 1
Ti1 Ti 0.000 0.000 0.000 1
Ag1 Ag 0.000 0.000 0.500 1
F1 F 0.000 0.000 0.224 1
```

***

Entry 3:
Structure and simulated X-ray diffraction stick pattern of Ta2Zn2CuO8 (a crystal structure in the Materials Project, relaxed with GGA-PBE; Cu Kα).
Neutral-atom scattering factors, no anomalous dispersion.

Main lines, by intensity (10° ≤ 2θ ≤ 90°):
hkl  2theta  d [Å]  intensity
0 2 1  34.5  2.602  100
5 1 1  32.9  2.720  98
5 1 -1  31.9  2.807  83
5 1 0  27.4  3.254  73
0 0 2  34.3  2.613  59
5 3 0  51.4  1.777  42
3 1 -1  26.1  3.412  41
4 0 0  18.3  4.841  36
1 1 1  23.2  3.838  34
0 2 3  61.6  1.506  31

Atomic structure:
```
data_Ta2Zn2CuO8
_space_group_name_H-M_alt 'C 1 2/c 1'
_space_group_IT_number 15
_cell_length_a 19.382
_cell_length_b 6.000
_cell_length_c 5.231
_cell_angle_alpha 90.00
_cell_angle_beta 92.39
_cell_angle_gamma 90.00
loop_
_space_group_symop_operation_xyz
'x,y,z'
'-x,-y,-z'
'-x,y,-z+1/2'
'x,-y,z+1/2'
'x+1/2,y+1/2,z'
'-x+1/2,-y+1/2,-z'
'-x+1/2,y+1/2,-z+1/2'
'x+1/2,-y+1/2,z+1/2'
loop_
_atom_site_label
_atom_site_type_symbol
_atom_site_fract_x
_atom_site_fract_y
_atom_site_fract_z
_atom_site_occupancy
Ta1 Ta 0.115 0.159 0.231 1
Zn1 Zn 0.218 0.343 0.735 1
Cu1 Cu 0.000 0.356 0.750 1
O1 O 0.056 0.367 0.066 1
O2 O 0.071 0.121 0.561 1
O3 O 0.179 0.103 0.935 1
O4 O 0.193 0.353 0.360 1
```

***

Entry 4:
Structure and simulated X-ray diffraction stick pattern of Li4CuP6O18 (a crystal structure in the Materials Project, relaxed with GGA-PBE; Cu Kα).
Neutral-atom scattering factors, no anomalous dispersion.

Main lines, by intensity (10° ≤ 2θ ≤ 90°):
hkl  2theta  d [Å]  intensity
0 2 3  29.4  3.035  100
0 0 2  12.5  7.075  95
2 0 -2  18.4  4.814  78
2 2 1  28.0  3.185  64
3 1 -1  25.2  3.536  45
3 1 -2  27.0  3.306  39
1 1 -2  17.9  4.968  36
1 1 -3  22.6  3.943  33
2 0 4  30.6  2.924  32
2 0 2  20.3  4.369  30

Atomic structure:
```
data_Li4CuP6O18
_space_group_name_H-M_alt 'C 1 2/c 1'
_space_group_IT_number 15
_cell_length_a 12.054
_cell_length_b 7.929
_cell_length_c 14.219
_cell_angle_alpha 90.00
_cell_angle_beta 95.63
_cell_angle_gamma 90.00
loop_
_space_group_symop_operation_xyz
'x,y,z'
'-x,-y,-z'
'-x,y,-z+1/2'
'x,-y,z+1/2'
'x+1/2,y+1/2,z'
'-x+1/2,-y+1/2,-z'
'-x+1/2,y+1/2,-z+1/2'
'x+1/2,-y+1/2,z+1/2'
loop_
_atom_site_label
_atom_site_type_symbol
_atom_site_fract_x
_atom_site_fract_y
_atom_site_fract_z
_atom_site_occupancy
Li1 Li 0.168 0.107 0.453 1
Li2 Li 0.168 0.370 0.928 1
Cu1 Cu 0.000 0.136 0.750 1
P1 P 0.084 0.187 0.110 1
P2 P 0.091 0.448 0.613 1
P3 P 0.234 0.363 0.254 1
O1 O 0.003 0.320 0.629 1
O2 O 0.009 0.067 0.376 1
O3 O 0.028 0.373 0.097 1
O4 O 0.158 0.141 0.793 1
O5 O 0.158 0.208 0.211 1
O6 O 0.160 0.157 0.033 1
O7 O 0.162 0.477 0.714 1
O8 O 0.168 0.426 0.537 1
O9 O 0.236 0.364 0.359 1
```